[1]
Starting from DFT lattice parameters and positions (PBE+U), the X-ray powder pattern of LiVP2O7 was computed for Cu Ka.
Peak positions follow from Bragg's law for the DFT cell and can differ from measured ones.

Top 10 peaks for 2θ = 10–90°, low angle first:
2theta, Rel. int., index
13.81, 30, 0 1 0
16.29, 100, 1 0 1
19.36, 28, 1 1 0
19.98, 49, 0 1 -1
28.26, 47, 0 0 2
28.47, 45, 2 0 1
29.91, 35, 2 1 1
30.97, 56, 0 2 1
31.61, 43, 0 2 -1
37.28, 23, 1 0 -2

Atomic structure:
Unit cell a=6.3523 b=6.4763 c=6.8615 alpha=85.59 beta=67.02 gamma=81.99
Space group P-1 (No. 2)
Unique sites:
Li1 0.2092 0.0018 0.3318 (multiplicity 2)
V1 0.4075 0.3557 0.7135 (multiplicity 2)
P1 0.1563 0.6102 0.1419 (multiplicity 2)
P2 0.2852 0.8691 0.7314 (multiplicity 2)
O1 0.0944 0.4045 0.7156 (multiplicity 2)
O2 0.1097 0.9512 0.6404 (multiplicity 2)
O3 0.1468 0.7902 0.9685 (multiplicity 2)
O4 0.2792 0.4090 0.0229 (multiplicity 2)
O5 0.2843 0.6895 0.2644 (multiplicity 2)
O6 0.4371 0.0285 0.7444 (multiplicity 2)
O7 0.4444 0.6696 0.6119 (multiplicity 2)



[2]
Starting from DFT lattice parameters and positions (PBE+U), the X-ray powder pattern of LiVP3O9 was computed for Cu Ka.
Peak positions follow from Bragg's law for the DFT cell and can differ from measured ones.

Top 10 peaks for 2θ = 10–90°, low angle first:
2theta, Rel. int., index
13.21, 65, 0 1 0
18.41, 58, 1 0 -1
18.84, 96, 1 -1 0
28.17, 63, 1 1 2
28.32, 41, 1 0 -2
28.81, 39, 2 0 1
29.80, 40, 2 1 0
29.96, 84, 2 0 -1
31.28, 100, 0 2 -1
32.77, 76, 0 2 2

Atomic structure:
Unit cell a=6.6863 b=6.8148 c=7.4788 alpha=79.54 beta=86.95 gamma=89.00
Space group P-1 (No. 2)
Unique sites:
Li1 0.1494 0.0666 0.2024 (multiplicity 2)
V1 0.1593 0.5782 0.1425 (multiplicity 2)
P1 0.1524 0.7122 0.5540 (multiplicity 2)
P2 0.3275 0.3717 0.7800 (multiplicity 2)
P3 0.3604 0.9248 0.8045 (multiplicity 2)
O1 0.0383 0.2908 0.3272 (multiplicity 2)
O2 0.1391 0.7740 0.3509 (multiplicity 2)
O3 0.1605 0.3952 0.9230 (multiplicity 2)
O4 0.1928 0.8522 0.9436 (multiplicity 2)
O5 0.2550 0.4942 0.5872 (multiplicity 2)
O6 0.3177 0.1576 0.7274 (multiplicity 2)
O7 0.3198 0.8484 0.6154 (multiplicity 2)
O8 0.4269 0.1132 0.1543 (multiplicity 2)
O9 0.4682 0.5648 0.1893 (multiplicity 2)



[3]
Starting from DFT lattice parameters and positions (PBE+U), the X-ray powder pattern of Li3VP2O8 was computed for Cu Ka.
Peak positions follow from Bragg's law for the DFT cell and can differ from measured ones.

Top 10 peaks for 2θ = 10–90°, low angle first:
2theta, Rel. int., index
12.36, 49, 1 0 0
24.38, 51, 1 2 1
24.44, 100, 1 -1 1
27.27, 12, 1 2 2
32.33, 12, 0 3 1
32.64, 16, 2 2 1
32.76, 16, -2 1 2
32.85, 14, 2 -1 1
38.84, 19, 1 0 3
39.06, 11, -1 3 3

Atomic structure:
Unit cell a=7.1618 b=8.4495 c=8.4742 alpha=60.22 beta=89.94 gamma=89.53
Space group P-1 (No. 2)
Unique sites:
Li1 0.0000 0.0000 0.0000 (multiplicity 1)
Li2 0.0076 0.6710 0.6633 (multiplicity 2)
Li3 0.1629 0.6570 0.3068 (multiplicity 2)
Li4 0.1643 0.3108 0.0313 (multiplicity 2)
Li5 0.1684 0.0389 0.6547 (multiplicity 2)
V1 0.4237 0.3318 0.3336 (multiplicity 2)
V2 0.5000 0.0000 0.0000 (multiplicity 1)
P1 0.2648 0.6898 0.9574 (multiplicity 2)
P2 0.2667 0.3530 0.6869 (multiplicity 2)
P3 0.2667 0.9611 0.3495 (multiplicity 2)
O1 0.0806 0.7551 0.8468 (multiplicity 2)
O2 0.0872 0.4000 0.7588 (multiplicity 2)
O3 0.0867 0.8456 0.3930 (multiplicity 2)
O4 0.2397 0.4039 0.4833 (multiplicity 2)
O5 0.2415 0.1120 0.4043 (multiplicity 2)
O6 0.2517 0.4837 0.1066 (multiplicity 2)
O7 0.2935 0.7993 0.0605 (multiplicity 2)
O8 0.2990 0.0639 0.1388 (multiplicity 2)
O9 0.2987 0.1415 0.7975 (multiplicity 2)
O10 0.4227 0.7307 0.8216 (multiplicity 2)
O11 0.4304 0.8325 0.4453 (multiplicity 2)
O12 0.4312 0.4488 0.7154 (multiplicity 2)



Repeat the first record exactly.
Starting from DFT lattice parameters and positions (PBE+U), the X-ray powder pattern of LiVP2O7 was computed for Cu Ka.
Peak positions follow from Bragg's law for the DFT cell and can differ from measured ones.

Top 10 peaks for 2θ = 10–90°, low angle first:
2theta, Rel. int., index
13.81, 30, 0 1 0
16.29, 100, 1 0 1
19.36, 28, 1 1 0
19.98, 49, 0 1 -1
28.26, 47, 0 0 2
28.47, 45, 2 0 1
29.91, 35, 2 1 1
30.97, 56, 0 2 1
31.61, 43, 0 2 -1
37.28, 23, 1 0 -2

Atomic structure:
Unit cell a=6.3523 b=6.4763 c=6.8615 alpha=85.59 beta=67.02 gamma=81.99
Space group P-1 (No. 2)
Unique sites:
Li1 0.2092 0.0018 0.3318 (multiplicity 2)
V1 0.4075 0.3557 0.7135 (multiplicity 2)
P1 0.1563 0.6102 0.1419 (multiplicity 2)
P2 0.2852 0.8691 0.7314 (multiplicity 2)
O1 0.0944 0.4045 0.7156 (multiplicity 2)
O2 0.1097 0.9512 0.6404 (multiplicity 2)
O3 0.1468 0.7902 0.9685 (multiplicity 2)
O4 0.2792 0.4090 0.0229 (multiplicity 2)
O5 0.2843 0.6895 0.2644 (multiplicity 2)
O6 0.4371 0.0285 0.7444 (multiplicity 2)
O7 0.4444 0.6696 0.6119 (multiplicity 2)



Copy entry 2 word for word.
Starting from DFT lattice parameters and positions (PBE+U), the X-ray powder pattern of LiVP3O9 was computed for Cu Ka.
Peak positions follow from Bragg's law for the DFT cell and can differ from measured ones.

Top 10 peaks for 2θ = 10–90°, low angle first:
2theta, Rel. int., index
13.21, 65, 0 1 0
18.41, 58, 1 0 -1
18.84, 96, 1 -1 0
28.17, 63, 1 1 2
28.32, 41, 1 0 -2
28.81, 39, 2 0 1
29.80, 40, 2 1 0
29.96, 84, 2 0 -1
31.28, 100, 0 2 -1
32.77, 76, 0 2 2

Atomic structure:
Unit cell a=6.6863 b=6.8148 c=7.4788 alpha=79.54 beta=86.95 gamma=89.00
Space group P-1 (No. 2)
Unique sites:
Li1 0.1494 0.0666 0.2024 (multiplicity 2)
V1 0.1593 0.5782 0.1425 (multiplicity 2)
P1 0.1524 0.7122 0.5540 (multiplicity 2)
P2 0.3275 0.3717 0.7800 (multiplicity 2)
P3 0.3604 0.9248 0.8045 (multiplicity 2)
O1 0.0383 0.2908 0.3272 (multiplicity 2)
O2 0.1391 0.7740 0.3509 (multiplicity 2)
O3 0.1605 0.3952 0.9230 (multiplicity 2)
O4 0.1928 0.8522 0.9436 (multiplicity 2)
O5 0.2550 0.4942 0.5872 (multiplicity 2)
O6 0.3177 0.1576 0.7274 (multiplicity 2)
O7 0.3198 0.8484 0.6154 (multiplicity 2)
O8 0.4269 0.1132 0.1543 (multiplicity 2)
O9 0.4682 0.5648 0.1893 (multiplicity 2)



> Number 1 is which compound?

LiVP2O7